# 1
Structure and simulated powder XRD pattern of SrCe2SnN4 (a PBE-relaxed structure; a wavelength of 1.5418 Å).

Cell: 3.6926 12.2754 12.2481 Å, 90.00 90.00 90.00°
Space group Cmcm (No. 63)
Unique sites:
Sr 0.0000 0.1016 0.2500
Ce 0.0000 0.3726 0.0389
Sn 0.0000 0.1625 0.7500
N 0.0000 0.0000 0.0000
N 0.0000 0.2671 0.6153
N 0.0000 0.4295 0.2500

Peak list (12 most intense, 2θ from 10° to 90°, most intense first)
- 29.1 deg, intensity 100, (0 4 0)
- 35.9 deg, intensity 48, (1 3 2)
- 49.9 deg, intensity 25, (1 5 3)
- 33.5 deg, intensity 22, (1 1 3)
- 70.9 deg, intensity 17, (1 7 5)
- 39.6 deg, intensity 14, (0 2 5)
- 16.2 deg, intensity 13, (0 2 1)
- 41.7 deg, intensity 13, (0 4 4)
- 49.4 deg, intensity 11, (2 0 0)
- 26.2 deg, intensity 10, (0 2 3)
- 58.8 deg, intensity 8, (0 6 5)
- 58.3 deg, intensity 8, (2 4 0)

=====

# 2
Structure and simulated powder XRD pattern of CeSnTe2N (a PBE-relaxed structure; a wavelength of 1.5418 Å).

Cell: 4.0941 4.0941 16.6993 Å, 90.00 90.00 90.00°
Space group P4/nmm (No. 129, origin choice 2)
Unique sites:
Ce 0.2500 0.2500 0.0652
Sn 0.2500 0.2500 0.6572
Te 0.2500 0.2500 0.3970
Te 0.2500 0.2500 0.8266
N 0.2500 0.7500 0.0000

Peak list (12 most intense, 2θ from 10° to 90°, most intense first)
- 30.9 deg, intensity 100, (1 1 0)
- 27.0 deg, intensity 67, (1 0 3)
- 34.7 deg, intensity 63, (1 0 5)
- 44.2 deg, intensity 41, (2 0 0)
- 37.8 deg, intensity 31, (1 1 4)
- 57.4 deg, intensity 30, (2 1 5)
- 21.3 deg, intensity 27, (0 0 4)
- 43.9 deg, intensity 24, (1 0 7)
- 52.6 deg, intensity 21, (2 1 3)
- 49.6 deg, intensity 20, (2 0 4)
- 73.1 deg, intensity 18, (3 1 0)
- 64.1 deg, intensity 15, (2 1 7)

=====

Repeat the first record exactly.
Structure and simulated powder XRD pattern of SrCe2SnN4 (a PBE-relaxed structure; a wavelength of 1.5418 Å).

Cell: 3.6926 12.2754 12.2481 Å, 90.00 90.00 90.00°
Space group Cmcm (No. 63)
Unique sites:
Sr 0.0000 0.1016 0.2500
Ce 0.0000 0.3726 0.0389
Sn 0.0000 0.1625 0.7500
N 0.0000 0.0000 0.0000
N 0.0000 0.2671 0.6153
N 0.0000 0.4295 0.2500

Peak list (12 most intense, 2θ from 10° to 90°, most intense first)
- 29.1 deg, intensity 100, (0 4 0)
- 35.9 deg, intensity 48, (1 3 2)
- 49.9 deg, intensity 25, (1 5 3)
- 33.5 deg, intensity 22, (1 1 3)
- 70.9 deg, intensity 17, (1 7 5)
- 39.6 deg, intensity 14, (0 2 5)
- 16.2 deg, intensity 13, (0 2 1)
- 41.7 deg, intensity 13, (0 4 4)
- 49.4 deg, intensity 11, (2 0 0)
- 26.2 deg, intensity 10, (0 2 3)
- 58.8 deg, intensity 8, (0 6 5)
- 58.3 deg, intensity 8, (2 4 0)